[1]
# Li3ClO
Theoretical powder diffractogram, CuKα. Input: a DFT-relaxed cell (PBE, the Materials Project).
Kinematic intensities with the Lorentz-polarization factor, no thermal factor.

Atomic structure:
Lattice parameters (Å, degrees): 3.9083 3.9083 3.9083 90.00 90.00 90.00
Fractional positions:
Li1 0.0000 0.0000 0.5000
Li2 0.0000 0.5000 0.0000
Li3 0.5000 0.0000 0.0000
Cl1 0.5000 0.5000 0.5000
O1 0.0000 0.0000 0.0000

Principal peaks in the range 5 to 70 degrees two-theta, in order of rising 2θ:
d (Å), two_theta, intensity
3.908, 22.75, 11
2.764, 32.40, 100
2.256, 39.95, 19
1.954, 46.47, 32
1.596, 57.78, 27
1.382, 67.82, 18

=====

[2]
# Y4CdS7
Theoretical powder diffractogram, CuKα. Input: a DFT-relaxed cell (PBE, the Materials Project).
Kinematic intensities with the Lorentz-polarization factor, no thermal factor.

Atomic structure:
Lattice parameters (Å, degrees): 6.6602 6.6602 11.6204 104.33 104.33 33.60
Fractional positions:
Y1 0.0000 0.0000 0.0000
Y2 0.3861 0.3861 0.6041
Y3 0.5782 0.5782 0.3716
Y4 0.6931 0.6931 0.8027
Cd1 0.8084 0.8084 0.2211
S1 0.0334 0.0334 0.7486
S2 0.1930 0.1930 0.3022
S3 0.3526 0.3526 0.8500
S4 0.4349 0.4349 0.1515
S5 0.6544 0.6544 0.0180
S6 0.7325 0.7325 0.5856
S7 0.9516 0.9516 0.4473

Principal peaks in the range 5 to 70 degrees two-theta, in order of rising 2θ:
d (Å), two_theta, intensity
3.700, 24.05, 100
3.643, 24.43, 89
2.846, 31.44, 81
2.711, 33.05, 86
2.618, 34.25, 55
1.926, 47.20, 58

=====

[3]
# Ba9In4H
Theoretical powder diffractogram, CuKα. Input: a DFT-relaxed cell (PBE, the Materials Project).
Kinematic intensities with the Lorentz-polarization factor, no thermal factor.

Atomic structure:
Lattice parameters (Å, degrees): 10.4196 10.4196 10.4196 94.71 94.71 146.69
Fractional positions:
Ba1 0.0000 0.0000 0.0000
Ba2 0.1132 0.6257 0.7389
Ba3 0.3169 0.3915 0.7083
Ba4 0.3743 0.1132 0.4875
Ba5 0.3915 0.6831 0.0746
Ba6 0.6085 0.3169 0.9254
Ba7 0.6257 0.8868 0.5125
Ba8 0.6831 0.6085 0.2917
Ba9 0.8868 0.3743 0.2611
In1 0.0999 0.2385 0.3384
In2 0.2385 0.9001 0.1386
In3 0.7615 0.0999 0.8614
In4 0.9001 0.7615 0.6616
H1 0.5000 0.5000 0.0000

Principal peaks in the range 5 to 70 degrees two-theta, in order of rising 2θ:
d (Å), two_theta, intensity
3.696, 24.08, 14
3.274, 27.23, 100
3.157, 28.27, 15
2.986, 29.92, 31
2.970, 30.08, 28
1.774, 51.50, 17

=====

[4]
# CaYMg6O8
Theoretical powder diffractogram, CuKα. Input: a DFT-relaxed cell (PBE, the Materials Project).
Kinematic intensities with the Lorentz-polarization factor, no thermal factor.

Atomic structure:
Lattice parameters (Å, degrees): 4.5240 4.5240 9.0566 90.00 90.00 90.00
Fractional positions:
Ca1 0.0000 0.0000 0.0000
Y1 0.0000 0.0000 0.5000
Mg1 0.0000 0.5000 0.2409
Mg2 0.0000 0.5000 0.7591
Mg3 0.5000 0.0000 0.2409
Mg4 0.5000 0.0000 0.7591
Mg5 0.5000 0.5000 0.0000
Mg6 0.5000 0.5000 0.5000
O1 0.0000 0.0000 0.2524
O2 0.0000 0.0000 0.7476
O3 0.0000 0.5000 0.0000
O4 0.0000 0.5000 0.5000
O5 0.5000 0.0000 0.0000
O6 0.5000 0.0000 0.5000
O7 0.5000 0.5000 0.2458
O8 0.5000 0.5000 0.7542

Principal peaks in the range 5 to 70 degrees two-theta, in order of rising 2θ:
d (Å), two_theta, intensity
4.525, 19.62, 25
3.200, 27.88, 21
2.613, 34.32, 28
2.263, 39.84, 100
1.600, 57.61, 59
1.364, 68.80, 14